For WO3, a crystal structure in the Materials Project, relaxed with PBE+U gives the theoretical powder XRD pattern in this record (Cu Ka).
No peak broadening, texture or thermal motion is included.

Top 10 peaks for 10 to 80 degrees two-theta, in order of rising 2θ:
- 2θ 13.6, I = 78.6
- 2θ 23.0, I = 61.3
- 2θ 23.7, I = 21.3
- 2θ 26.8, I = 22.1
- 2θ 27.4, I = 100.0
- 2θ 36.1, I = 65.8
- 2θ 48.5, I = 24.7
- 2θ 54.3, I = 25.7
- 2θ 55.2, I = 29.0
- 2θ 61.9, I = 17.6

Structural model:
a = 7.509 Å, b = 7.509 Å, c = 7.744 Å
α = 90.00°, β = 90.00°, γ = 120.00°
Sites, in units of the cell vectors:
W: 0.000 0.485 0.000
W: 0.000 0.515 0.500
W: 0.485 0.000 0.000
W: 0.485 0.485 0.500
W: 0.515 0.000 0.500
W: 0.515 0.515 0.000
O: 0.000 0.499 0.240
O: 0.000 0.501 0.740
O: 0.210 0.426 0.488
O: 0.210 0.784 0.988
O: 0.216 0.426 0.988
O: 0.216 0.790 0.488
O: 0.426 0.210 0.488
O: 0.426 0.216 0.988
O: 0.499 0.000 0.240
O: 0.499 0.499 0.740
O: 0.501 0.000 0.740
O: 0.501 0.501 0.240
O: 0.574 0.784 0.488
O: 0.574 0.790 0.988
O: 0.784 0.210 0.988
O: 0.784 0.574 0.488
O: 0.790 0.216 0.488
O: 0.790 0.574 0.988

---

For WO2, a crystal structure in the Materials Project, relaxed with PBE+U gives the theoretical powder XRD pattern in this record (Cu Ka).
No peak broadening, texture or thermal motion is included.

Top 10 peaks for 10 to 80 degrees two-theta, in order of rising 2θ:
- 2θ 16.7, I = 100.0
- 2θ 17.2, I = 68.6
- 2θ 32.3, I = 28.1
- 2θ 32.6, I = 38.0
- 2θ 33.1, I = 19.3
- 2θ 33.7, I = 22.9
- 2θ 33.9, I = 44.1
- 2θ 34.7, I = 20.6
- 2θ 39.1, I = 25.5
- 2θ 39.7, I = 49.6

Structural model:
a = 6.483 Å, b = 6.519 Å, c = 15.493 Å
α = 90.69°, β = 90.19°, γ = 119.51°
Sites, in units of the cell vectors:
W: 0.000 0.000 0.000
W: 0.001 0.498 0.496
W: 0.156 0.324 0.666
W: 0.159 0.822 0.665
W: 0.321 0.162 0.832
W: 0.344 0.668 0.327
W: 0.492 0.000 0.007
W: 0.496 0.494 0.000
W: 0.667 0.327 0.669
W: 0.821 0.155 0.329
W: 0.825 0.680 0.329
W: 0.999 0.498 0.121
O: 0.022 0.509 0.732
O: 0.046 0.017 0.750
O: 0.127 0.770 0.397
O: 0.138 0.370 0.402
O: 0.184 0.895 0.920
O: 0.188 0.304 0.922
O: 0.274 0.625 0.585
O: 0.315 0.151 0.608
O: 0.316 0.180 0.068
O: 0.324 0.652 0.072
O: 0.452 0.011 0.750
O: 0.452 0.432 0.755
O: 0.510 0.974 0.267
O: 0.528 0.521 0.270
O: 0.598 0.305 0.924
O: 0.666 0.823 0.948
O: 0.672 0.832 0.399
O: 0.730 0.373 0.403
O: 0.841 0.660 0.066
O: 0.843 0.171 0.072
O: 0.864 0.635 0.587
O: 0.871 0.221 0.587
O: 0.973 0.983 0.272
O: 0.990 0.500 0.251